Simulated XRD peak list of Nb2Ru3Rh2 for Cu Kα (weighted mean of Kα1 and Kα2), from a cell relaxed with PBE.
Neutral-atom scattering factors, no anomalous dispersion.

Peak list (8 most intense, 2θ = 10–90°, low angle first)
2θ 37.23, rel. 34, (0 1 0); 2θ 40.09, rel. 83, (0 0 7); 2θ 41.96, rel. 100, (0 1 3); 2θ 42.07, rel. 50, (1 0 -4); 2θ 42.88, rel. 95, (0 1 -4); 2θ 43.08, rel. 47, (-1 1 4); 2θ 67.15, rel. 35, (1 -2 0); 2θ 81.06, rel. 31, (1 1 -8)

Cell and atoms:
```
data_Nb2Ru3Rh2
_space_group_name_H-M_alt 'P -1'
_space_group_IT_number 2
_cell_length_a 2.786
_cell_length_b 2.790
_cell_length_c 15.820
_cell_angle_alpha 90.13
_cell_angle_beta 94.79
_cell_angle_gamma 119.83
loop_
_space_group_symop_operation_xyz
'x,y,z'
'-x,-y,-z'
loop_
_atom_site_label
_atom_site_type_symbol
_atom_site_fract_x
_atom_site_fract_y
_atom_site_fract_z
_atom_site_occupancy
Nb1 Nb 0.183 0.098 0.284 1
Ru1 Ru 0.000 0.000 0.000 1
Ru2 Ru 0.374 0.187 0.566 1
Rh1 Rh 0.421 0.713 0.139 1
```